# Cs2UCdBr6
Computed XRD peak list, copper Kα. Input: a crystal structure in Alexandria, relaxed with GGA-PBE.
Peak positions follow from Bragg's law for the DFT cell and can differ from measured ones.

Top 6 peaks for 2θ from 15° to 90°, in order of rising 2θ:
2θ (°)	I (rel.)
20.17	100
28.87	92
29.09	56
29.45	77
33.73	74
45.38	80

Atomic structure:
```
Cs2UCdBr6
1.0
7.991 0.000 0.000
0.000 12.132 0.000
0.000 0.000 10.676
Cs U Cd Br
4 2 2 12
Direct
0.250 0.027 0.173
0.250 0.473 0.173
0.750 0.527 0.827
0.750 0.973 0.827
0.250 0.750 0.828
0.750 0.250 0.172
0.250 0.250 0.655
0.750 0.750 0.345
0.003 0.250 0.350
0.008 0.750 0.019
0.250 0.519 0.830
0.250 0.981 0.830
0.492 0.750 0.019
0.497 0.250 0.350
0.503 0.750 0.650
0.508 0.250 0.981
0.750 0.019 0.170
0.750 0.481 0.170
0.992 0.250 0.981
0.997 0.750 0.650
```